Starting from DFT lattice parameters and positions (PBE), the powder diffraction line list of Pu2AlSe4 was simulated for Cu Kα (λ = 1.5418 Å).
Peak positions follow from Bragg's law for the DFT cell and can differ from measured ones.

Atomic structure:
a = 6.8243 Å, b = 6.8489 Å, c = 8.0882 Å
α = 90.00°, β = 107.26°, γ = 90.00°
Space group P2_1/m (No. 11)
Symmetry-distinct sites (fractional):
Pu 0.2238 0.2500 0.0562
Pu 0.2354 0.2500 0.5571
Al 0.2451 0.7500 0.8105
Se 0.0038 0.5077 0.2534
Se 0.4353 0.7500 0.6086
Se 0.4356 0.7500 0.1081

The 10 most intense peaks (2θ = 5–70°), by intensity:
index  Position (°2θ)  I_rel
1 1 2  32.96  100
1 1 0  18.80  91
0 2 2  35.02  80
2 0 -2  30.19  53
0 2 0  26.02  38
2 2 0  38.12  32
1 3 2  50.48  30
3 1 0  43.72  25
1 0 -4  44.82  24
3 2 -4  60.27  18

***

Starting from DFT lattice parameters and positions (PBE), the powder diffraction line list of KPu2MgCl8 was simulated for Cu Kα (λ = 1.5418 Å).
Peak positions follow from Bragg's law for the DFT cell and can differ from measured ones.

Atomic structure:
a = 6.4097 Å, b = 8.5939 Å, c = 6.5693 Å
α = 90.00°, β = 92.45°, γ = 90.00°
Space group P2/m (No. 10)
Symmetry-distinct sites (fractional):
K 0.0000 0.0000 0.0000
Pu 0.5000 0.2589 0.5000
Mg 0.0000 0.5000 0.0000
Cl 0.2208 0.2930 0.1651
Cl 0.2647 0.5000 0.6775
Cl 0.2792 0.0000 0.6346

The 10 most intense peaks (2θ = 5–70°), by intensity:
index  Position (°2θ)  I_rel
0 0 1  13.49  100
1 0 -1  18.94  95
1 2 -1  28.18  89
1 0 0  13.83  88
1 0 1  19.78  83
1 2 0  24.96  73
0 2 3  46.56  48
2 2 -1  37.16  48
2 2 1  38.07  46
0 2 1  24.77  46

***

Starting from DFT lattice parameters and positions (PBE), the powder diffraction line list of Sm12Y2Sc was simulated for Cu Kα (λ = 1.5418 Å).
Peak positions follow from Bragg's law for the DFT cell and can differ from measured ones.

Atomic structure:
a = 7.1729 Å, b = 11.4564 Å, c = 24.6122 Å
α = 90.00°, β = 90.00°, γ = 90.00°
Space group Cmme (No. 67)
Symmetry-distinct sites (fractional):
Sm 0.0000 0.0011 0.0723
Sm 0.0000 0.0232 0.5608
Sm 0.2316 0.2500 0.4132
Sm 0.2489 0.2500 0.8761
Sm 0.2500 0.0000 0.1964
Sm 0.2500 0.0000 0.3238
Y 0.0000 0.2500 0.2633
Y 0.0000 0.2500 0.7321
Sc 0.0000 0.2500 0.9996

The 10 most intense peaks (2θ = 5–70°), by intensity:
index  Position (°2θ)  I_rel
2 2 2  30.29  100
0 4 0  31.23  76
0 2 8  33.05  70
2 2 6  36.80  57
2 2 4  32.86  35
0 2 7  29.82  34
4 4 0  60.94  31
4 2 8  62.06  23
4 0 0  50.92  20
2 0 4  28.81  19

***

Question: Number 3 is which compound?
Answer: Sm12Y2Sc